Record 1
Calculated powder XRD pattern
Compound: Cs2Nb3I9
Radiation: Cu Kα (λ = 1.5418 Å)
Structure: the PBE geometry in Alexandria
Peak positions follow from Bragg's law for the DFT cell and can differ from measured ones.

Structure:
```
28
Lattice="6.222 -9.717 0.000 6.222 9.717 0.000 -5.378 0.000 10.285" Properties=species:S:1:pos:R:3 pbc="T T T"
Cs 1.289 6.691 6.915
Cs 5.777 6.691 3.370
Cs 1.289 -6.691 6.915
Cs 5.777 -6.691 3.370
Nb 0.035 1.514 9.006
Nb 4.411 0.000 1.153
Nb 0.035 -1.514 9.006
Nb 7.031 1.514 1.279
Nb 2.654 0.000 9.132
Nb 7.031 -1.514 1.279
I -1.184 3.794 7.078
I -2.515 1.964 10.135
I -1.264 0.000 6.994
I 1.728 0.000 2.863
I 6.222 3.901 0.000
I -2.515 -1.964 10.135
I 2.118 1.936 7.164
I -1.184 -3.794 7.078
I 4.947 1.936 3.121
I 2.118 -1.936 7.164
I 8.250 3.794 3.207
I 4.947 -1.936 3.121
I 9.580 1.964 0.150
I 6.222 -3.901 0.000
I 5.338 0.000 7.422
I 8.330 0.000 3.291
I 9.580 -1.964 0.150
I 8.250 -3.794 3.207
```

Principal peaks in the range 10° ≤ 2θ ≤ 90°, sorted by position:
25.25°, 3.527 Å, rel. 100
25.99°, 3.428 Å, rel. 92
28.37°, 3.146 Å, rel. 96
29.40°, 3.038 Å, rel. 31
29.54°, 3.024 Å, rel. 33
32.10°, 2.789 Å, rel. 67
35.00°, 2.564 Å, rel. 80
40.19°, 2.244 Å, rel. 49
43.18°, 2.095 Å, rel. 38
43.38°, 2.086 Å, rel. 38

=====

Record 2
Calculated powder XRD pattern
Compound: CsNb6I11
Radiation: Cu Kα (λ = 1.5418 Å)
Structure: the PBE geometry in Alexandria
Peak positions follow from Bragg's law for the DFT cell and can differ from measured ones.

Structure:
```
36
Lattice="11.276 0.000 0.000 -5.638 9.766 0.000 0.000 0.000 12.076" Properties=species:S:1:pos:R:3 pbc="T T T"
Cs 0.000 0.000 3.019
Cs 0.000 0.000 9.057
Nb -0.721 5.066 4.208
Nb -1.611 6.608 1.830
Nb 0.721 5.066 1.830
Nb -0.890 7.857 4.208
Nb 1.611 6.608 4.208
Nb 0.890 7.857 1.830
Nb 4.748 1.909 7.868
Nb 4.027 3.157 10.246
Nb 6.528 1.909 10.246
Nb 4.917 4.699 7.868
Nb 7.249 3.157 7.868
Nb 6.359 4.699 10.246
I -1.618 2.803 6.038
I -4.020 6.963 0.000
I -1.819 3.674 1.913
I -3.366 6.353 4.125
I 3.236 0.000 6.038
I 1.618 2.803 0.000
I 0.000 6.510 6.588
I 0.000 6.510 11.526
I 1.819 3.674 4.125
I -1.547 9.504 1.913
I 4.091 0.262 10.163
I 2.272 3.412 7.951
I 3.366 6.353 1.913
I 1.547 9.504 4.125
I 7.185 0.262 7.951
I 3.819 6.092 10.163
I 5.638 3.255 0.550
I 5.638 3.255 5.488
I 8.040 0.000 0.000
I 4.020 6.963 6.038
I 9.004 3.412 10.163
I 7.457 6.092 7.951
```

Principal peaks in the range 10° ≤ 2θ ≤ 90°, sorted by position:
11.65°, 7.593 Å, rel. 100
23.43°, 3.797 Å, rel. 30
25.23°, 3.530 Å, rel. 25
27.22°, 3.276 Å, rel. 95
27.40°, 3.255 Å, rel. 95
28.34°, 3.149 Å, rel. 30
38.39°, 2.345 Å, rel. 25
39.01°, 2.309 Å, rel. 73
40.97°, 2.203 Å, rel. 28
43.07°, 2.100 Å, rel. 55

=====

Record 3
Calculated powder XRD pattern
Compound: Cs4NdI6
Radiation: Cu Kα (λ = 1.5418 Å)
Structure: the PBE geometry in Alexandria
Peak positions follow from Bragg's law for the DFT cell and can differ from measured ones.

Structure:
```
22
Lattice="10.455 0.000 0.000 0.000 10.455 0.000 0.000 0.000 10.894" Properties=species:S:1:pos:R:3 pbc="T T T"
Cs 1.746 3.482 2.724
Cs 1.746 3.482 8.171
Cs 3.482 8.709 2.724
Cs 3.482 8.709 8.171
Cs 6.974 1.746 2.724
Cs 6.974 1.746 8.171
Cs 8.709 6.974 2.724
Cs 8.709 6.974 8.171
Nd 0.000 0.000 0.000
Nd 5.228 5.228 5.447
I 0.000 0.000 3.176
I 0.000 0.000 7.718
I 1.039 7.349 0.000
I 2.121 6.266 5.447
I 3.107 1.039 0.000
I 4.189 2.121 5.447
I 5.228 5.228 2.271
I 5.228 5.228 8.623
I 6.266 8.334 5.447
I 7.349 9.417 0.000
I 8.334 4.189 5.447
I 9.417 3.107 0.000
```

Principal peaks in the range 10° ≤ 2θ ≤ 90°, sorted by position:
11.73°, 7.543 Å, rel. 26
25.10°, 3.548 Å, rel. 100
25.97°, 3.430 Å, rel. 19
26.97°, 3.306 Å, rel. 59
28.21°, 3.164 Å, rel. 16
32.89°, 2.724 Å, rel. 21
38.51°, 2.338 Å, rel. 17
39.78°, 2.266 Å, rel. 12
43.03°, 2.102 Å, rel. 24
54.19°, 1.693 Å, rel. 12